For HoEr2Tm2Lu2Ni2Te2, a structure optimized by DFT (GGA-PBE) gives the theoretical XRD peak list in this record (a wavelength of 1.5418 Å).
No peak broadening, texture or thermal motion is included.

Principal peaks in the range 15 to 90 degrees two-theta, low angle first:
2θ = 29.13°, I 22, (1 3 0)
2θ = 30.60°, I 75, (1 1 2)
2θ = 33.37°, I 83, (0 3 3)
2θ = 34.41°, I 100, (1 4 1)
2θ = 34.88°, I 56, (1 3 2)
2θ = 35.02°, I 25, (0 6 0)
2θ = 36.95°, I 24, (1 0 3)
2θ = 47.54°, I 30, (2 0 0)
2θ = 51.77°, I 27, (1 7 2)
2θ = 59.31°, I 38, (2 3 3)

Crystal structure
```
data_HoEr2Tm2Lu2Ni2Te2
_chemical_formula_sum 'Ho2 Er4 Tm4 Lu4 Ni4 Te4'
_symmetry_space_group_name_H-M 'I m m 2'
_symmetry_Int_Tables_number 44
_symmetry_space_group_name_Hall 'I 2 -2'
_cell_length_a 3.8251
_cell_length_b 15.3730
_cell_length_c 9.4587
_cell_angle_alpha 90.00
_cell_angle_beta 90.00
_cell_angle_gamma 90.00
loop_
_atom_site_label
_atom_site_fract_x
_atom_site_fract_y
_atom_site_fract_z
Ho1 0.0000 0.0000 0.0000
Er1 0.0000 0.3532 0.7293
Tm1 0.0000 0.1347 0.5821
Lu1 0.0000 0.3146 0.3765
Ni1 0.0000 0.2363 0.0688
Te1 0.0000 0.0000 0.3390
Te2 0.0000 0.5000 0.2331
```